# MnH4Rh2
Calculated powder X-ray diffraction pattern, λ = 1.5418 Å (Cu Kα). Input: a structure optimized by DFT (PBE).
Intensities are scaled so that the largest is 100.

Top 10 peaks for 15 to 90 degrees two-theta, low angle first:
- 22.57 deg, d 3.939, I 32, (0 0 2)
- 32.74 deg, d 2.735, I 25, (1 1 0)
- 34.72 deg, d 2.584, I 37, (1 1 1)
- 36.89 deg, d 2.437, I 59, (0 4 0)
- 38.96 deg, d 2.312, I 100, (0 2 3)
- 40.14 deg, d 2.247, I 64, (1 1 2)
- 42.18 deg, d 2.142, I 32, (1 3 0)
- 43.79 deg, d 2.067, I 25, (1 3 1)
- 48.36 deg, d 1.882, I 35, (1 3 2)
- 78.92 deg, d 1.213, I 24, (2 2 3)

Cell lengths 2.850, 9.746, 7.878 Å; angles 90.00, 90.00, 90.00 degrees
Space group Cmc2_1 (No. 36)
One atom of each set of equivalent atoms:
Mn 0.000 0.099 0.000 (multiplicity 4)
H 0.000 0.002 0.250 (multiplicity 4)
H 0.000 0.247 0.631 (multiplicity 4)
H 0.000 0.250 0.368 (multiplicity 4)
H 0.000 0.465 0.999 (multiplicity 4)
Rh 0.000 0.366 0.811 (multiplicity 4)
Rh 0.000 0.369 0.188 (multiplicity 4)


# TaNb
Calculated powder X-ray diffraction pattern, λ = 1.5418 Å (Cu Kα). Input: a structure optimized by DFT (PBE).
Intensities are scaled so that the largest is 100.

Top 10 peaks for 15 to 90 degrees two-theta, low angle first:
- 35.82 deg, d 2.507, I 51, (0 4 0)
- 36.45 deg, d 2.465, I 100, (2 1 0)
- 39.74 deg, d 2.268, I 70, (1 2 1)
- 44.78 deg, d 2.024, I 56, (2 3 0)
- 58.62 deg, d 1.575, I 25, (2 5 0)
- 66.35 deg, d 1.409, I 21, (3 2 1)
- 67.00 deg, d 1.397, I 16, (1 6 1)
- 74.96 deg, d 1.267, I 12, (0 4 2)
- 75.35 deg, d 1.261, I 12, (2 1 2)
- 76.29 deg, d 1.248, I 12, (2 7 0)

Cell lengths 5.085, 10.028, 2.937 Å; angles 90.00, 90.00, 90.00 degrees
Space group Pbam (No. 55)
One atom of each set of equivalent atoms:
Ta 0.118 0.128 0.000 (multiplicity 4)
Nb 0.120 0.375 0.500 (multiplicity 4)


# PmZn3Ga4
Calculated powder X-ray diffraction pattern, λ = 1.5418 Å (Cu Kα). Input: a structure optimized by DFT (PBE).
Intensities are scaled so that the largest is 100.

Top 10 peaks for 15 to 90 degrees two-theta, low angle first:
- 30.57 deg, d 2.924, I 74, (1 0 2)
- 31.03 deg, d 2.882, I 84, (1 1 1)
- 36.96 deg, d 2.432, I 79, (1 1 2)
- 40.13 deg, d 2.247, I 23, (1 0 3)
- 41.20 deg, d 2.191, I 100, (2 0 0)
- 45.36 deg, d 2.000, I 42, (1 1 3)
- 50.98 deg, d 1.791, I 27, (1 0 4)
- 52.16 deg, d 1.754, I 33, (2 1 2)
- 59.68 deg, d 1.549, I 32, (2 2 0)
- 67.54 deg, d 1.387, I 23, (2 1 4)

Cell lengths 4.382, 4.382, 7.852 Å; angles 90.00, 90.00, 90.00 degrees
Space group P4/mmm (No. 123)
One atom of each set of equivalent atoms:
Pm 0.000 0.000 0.000 (multiplicity 1)
Zn 0.000 0.000 0.500 (multiplicity 1)
Zn 0.500 0.500 0.151 (multiplicity 2)
Ga 0.000 0.500 0.322 (multiplicity 4)


# TbPmB12
Calculated powder X-ray diffraction pattern, λ = 1.5418 Å (Cu Kα). Input: a structure optimized by DFT (PBE).
Intensities are scaled so that the largest is 100.

Top 10 peaks for 15 to 90 degrees two-theta, low angle first:
- 21.61 deg, d 4.112, I 68, (1 0 0)
- 30.75 deg, d 2.908, I 100, (1 1 0)
- 37.89 deg, d 2.374, I 42, (1 1 2)
- 44.04 deg, d 2.056, I 21, (2 0 0)
- 49.57 deg, d 1.839, I 50, (2 1 0)
- 54.67 deg, d 1.679, I 28, (2 1 2)
- 68.44 deg, d 1.371, I 28, (2 2 2)
- 72.71 deg, d 1.300, I 20, (3 1 0)
- 76.89 deg, d 1.240, I 13, (3 1 2)
- 89.08 deg, d 1.099, I 18, (3 2 2)

Cell lengths 4.112, 4.112, 8.226 Å; angles 90.00, 90.00, 90.00 degrees
Space group P4/mmm (No. 123)
One atom of each set of equivalent atoms:
Tb 0.000 0.000 0.000 (multiplicity 1)
Pm 0.000 0.000 0.500 (multiplicity 1)
B 0.199 0.500 0.249 (multiplicity 8)
B 0.500 0.500 0.099 (multiplicity 2)
B 0.500 0.500 0.400 (multiplicity 2)